The following is a theoretical XRD peak list of Sr2ScFePO3. It was derived from a PBE+U-relaxed structure, using Cu Kα (weighted mean of Kα1 and Kα2).

Most intense lines, 2θ from 10° to 90°, low angle first:
22.30 deg, intensity 15, hkl 1 0 1
30.71 deg, intensity 29, hkl 1 1 0
31.24 deg, intensity 100, hkl 1 0 4
35.15 deg, intensity 21, hkl 1 1 3
38.29 deg, intensity 18, hkl 1 1 4
43.99 deg, intensity 43, hkl 2 0 0
54.94 deg, intensity 32, hkl 2 1 4
55.93 deg, intensity 18, hkl 1 1 8

Atomic structure:
abc: 4.1170 4.1170 15.9349
angles: 90.00 90.00 90.00
Sites, in units of the cell vectors:
Sr (0.2500, 0.2500, 0.0851)
Sr (0.2500, 0.2500, 0.3086)
Sr (0.7500, 0.7500, 0.6914)
Sr (0.7500, 0.7500, 0.9149)
Sc (0.2500, 0.2500, 0.8088)
Sc (0.7500, 0.7500, 0.1912)
Fe (0.2500, 0.7500, 0.5000)
Fe (0.7500, 0.2500, 0.5000)
P (0.2500, 0.2500, 0.5912)
P (0.7500, 0.7500, 0.4088)
O (0.2500, 0.2500, 0.9337)
O (0.2500, 0.7500, 0.2110)
O (0.2500, 0.7500, 0.7890)
O (0.7500, 0.2500, 0.2110)
O (0.7500, 0.2500, 0.7890)
O (0.7500, 0.7500, 0.0663)